No. 1
Structure and simulated X-ray powder pattern of SrZn5 (a crystal structure in the Materials Project, relaxed with PBE; Cu Kα).
Intensities are scaled so that the largest is 100.

Principal peaks in the range 2θ = 10–80°, in order of falling intensity:
2θ/deg	d_spacing	I/Imax
38.55	2.335	100
37.09	2.424	33
42.99	2.104	31
42.68	2.118	27
61.40	1.510	24
31.97	2.799	23

Structural model:
```
data_SrZn5
_chemical_formula_sum 'Sr1 Zn5'
_symmetry_space_group_name_H-M 'P 1'
_symmetry_Int_Tables_number 1
_cell_length_a 5.598
_cell_length_b 5.598
_cell_length_c 4.237
_cell_angle_alpha 90.00
_cell_angle_beta 90.00
_cell_angle_gamma 120.00
loop_
_symmetry_equiv_pos_as_xyz
'x,y,z'
loop_
_atom_site_label
_atom_site_type_symbol
_atom_site_fract_x
_atom_site_fract_y
_atom_site_fract_z
Sr1 Sr 0.000 0.000 0.000
Zn1 Zn 0.000 0.500 0.500
Zn2 Zn 0.333 0.667 0.000
Zn3 Zn 0.500 0.000 0.500
Zn4 Zn 0.500 0.500 0.500
Zn5 Zn 0.667 0.333 0.000
```



No. 2
Structure and simulated X-ray powder pattern of Na2NdPCO7 (a crystal structure in the Materials Project, relaxed with PBE; Cu Kα).
Intensities are scaled so that the largest is 100.

Principal peaks in the range 2θ = 10–80°, in order of falling intensity:
2θ/deg	d_spacing	I/Imax
15.54	5.703	100
21.06	4.218	96
24.90	3.576	81
25.68	3.470	80
25.16	3.540	59
34.34	2.611	47

Structural model:
```
data_Na2NdPCO7
_chemical_formula_sum 'Na4 Nd2 P2 C2 O14'
_symmetry_space_group_name_H-M 'P 1'
_symmetry_Int_Tables_number 1
_cell_length_a 5.224
_cell_length_b 7.152
_cell_length_c 9.453
_cell_angle_alpha 90.00
_cell_angle_beta 91.15
_cell_angle_gamma 90.00
loop_
_symmetry_equiv_pos_as_xyz
'x,y,z'
loop_
_atom_site_label
_atom_site_type_symbol
_atom_site_fract_x
_atom_site_fract_y
_atom_site_fract_z
Na1 Na 0.229 0.006 0.207
Na2 Na 0.229 0.494 0.207
Na3 Na 0.771 0.506 0.793
Na4 Na 0.771 0.994 0.793
Nd1 Nd 0.241 0.250 0.623
Nd2 Nd 0.759 0.750 0.377
P1 P 0.290 0.750 0.588
P2 P 0.710 0.250 0.412
C1 C 0.268 0.250 0.925
C2 C 0.732 0.750 0.075
O1 O 0.044 0.250 0.860
O2 O 0.167 0.573 0.650
O3 O 0.167 0.927 0.650
O4 O 0.246 0.750 0.422
O5 O 0.297 0.250 0.058
O6 O 0.414 0.250 0.388
O7 O 0.468 0.250 0.840
O8 O 0.532 0.750 0.160
O9 O 0.586 0.750 0.612
O10 O 0.703 0.750 0.942
O11 O 0.754 0.250 0.578
O12 O 0.833 0.073 0.350
O13 O 0.833 0.427 0.350
O14 O 0.956 0.750 0.140
```



No. 3
Structure and simulated X-ray powder pattern of Rb2NbCuS4 (a crystal structure in the Materials Project, relaxed with PBE; Cu Kα).
Intensities are scaled so that the largest is 100.

Principal peaks in the range 2θ = 10–80°, in order of falling intensity:
2θ/deg	d_spacing	I/Imax
25.47	3.497	100
27.34	3.262	60
31.12	2.874	53
39.07	2.306	49
14.57	6.079	48
34.52	2.598	41

Structural model:
```
data_Rb2NbCuS4
_chemical_formula_sum 'Rb4 Nb2 Cu2 S8'
_symmetry_space_group_name_H-M 'P 1'
_symmetry_Int_Tables_number 1
_cell_length_a 5.607
_cell_length_b 7.467
_cell_length_c 12.477
_cell_angle_alpha 85.16
_cell_angle_beta 77.02
_cell_angle_gamma 67.95
loop_
_symmetry_equiv_pos_as_xyz
'x,y,z'
loop_
_atom_site_label
_atom_site_type_symbol
_atom_site_fract_x
_atom_site_fract_y
_atom_site_fract_z
Rb1 Rb 0.000 0.000 0.000
Rb2 Rb 0.103 0.499 0.791
Rb3 Rb 0.350 0.004 0.297
Rb4 Rb 0.742 0.504 0.505
Nb1 Nb 0.187 0.000 0.646
Nb2 Nb 0.939 0.499 0.148
Cu1 Cu 0.436 0.501 0.146
Cu2 Cu 0.670 0.001 0.649
S1 S 0.017 0.689 0.257
S2 S 0.079 0.805 0.542
S3 S 0.314 0.309 0.044
S4 S 0.380 0.196 0.538
S5 S 0.459 0.809 0.759
S6 S 0.637 0.699 0.042
S7 S 0.731 0.315 0.255
S8 S 0.791 0.196 0.754
```



No. 4
Structure and simulated X-ray powder pattern of GaPd (a crystal structure in the Materials Project, relaxed with PBE; Cu Kα).
Intensities are scaled so that the largest is 100.

Principal peaks in the range 2θ = 10–80°, in order of falling intensity:
2θ/deg	d_spacing	I/Imax
40.90	2.207	100
74.48	1.274	33
59.22	1.560	16
28.61	3.121	5
67.06	1.396	2
50.67	1.802	1

Structural model:
```
data_GaPd
_chemical_formula_sum 'Ga1 Pd1'
_symmetry_space_group_name_H-M 'P 1'
_symmetry_Int_Tables_number 1
_cell_length_a 3.121
_cell_length_b 3.121
_cell_length_c 3.121
_cell_angle_alpha 90.00
_cell_angle_beta 90.00
_cell_angle_gamma 90.00
loop_
_symmetry_equiv_pos_as_xyz
'x,y,z'
loop_
_atom_site_label
_atom_site_type_symbol
_atom_site_fract_x
_atom_site_fract_y
_atom_site_fract_z
Ga1 Ga 0.000 0.000 0.000
Pd1 Pd 0.500 0.500 0.500
```



No. 5
Structure and simulated X-ray powder pattern of KTi6O12 (a crystal structure in the Materials Project, relaxed with PBE; Cu Kα).
Intensities are scaled so that the largest is 100.

Principal peaks in the range 2θ = 10–80°, in order of falling intensity:
2θ/deg	d_spacing	I/Imax
27.42	3.253	100
35.88	2.503	69
17.24	5.144	64
12.17	7.274	59
57.27	1.609	47
47.51	1.914	43

Structural model:
```
data_KTi6O12
_chemical_formula_sum 'K2 Ti12 O24'
_symmetry_space_group_name_H-M 'P 1'
_symmetry_Int_Tables_number 1
_cell_length_a 8.540
_cell_length_b 8.540
_cell_length_c 8.540
_cell_angle_alpha 105.93
_cell_angle_beta 105.93
_cell_angle_gamma 116.81
loop_
_symmetry_equiv_pos_as_xyz
'x,y,z'
loop_
_atom_site_label
_atom_site_type_symbol
_atom_site_fract_x
_atom_site_fract_y
_atom_site_fract_z
K1 K 0.227 0.227 0.000
K2 K 0.773 0.773 0.000
Ti1 Ti 0.016 0.833 0.516
Ti2 Ti 0.167 0.683 0.183
Ti3 Ti 0.168 0.650 0.818
Ti4 Ti 0.317 0.499 0.484
Ti5 Ti 0.350 0.168 0.518
Ti6 Ti 0.499 0.016 0.183
Ti7 Ti 0.501 0.984 0.817
Ti8 Ti 0.650 0.832 0.482
Ti9 Ti 0.683 0.501 0.516
Ti10 Ti 0.832 0.350 0.182
Ti11 Ti 0.833 0.317 0.817
Ti12 Ti 0.984 0.167 0.484
O1 O 0.127 0.500 0.294
O2 O 0.128 0.489 0.951
O3 O 0.156 0.204 0.360
O4 O 0.166 0.460 0.626
O5 O 0.167 0.873 0.373
O6 O 0.177 0.128 0.639
O7 O 0.204 0.844 0.049
O8 O 0.207 0.833 0.706
O9 O 0.460 0.834 0.295
O10 O 0.462 0.823 0.951
O11 O 0.489 0.538 0.361
O12 O 0.500 0.207 0.373
O13 O 0.500 0.793 0.627
O14 O 0.511 0.462 0.639
O15 O 0.538 0.177 0.049
O16 O 0.540 0.166 0.705
O17 O 0.793 0.167 0.294
O18 O 0.796 0.156 0.951
O19 O 0.823 0.872 0.361
O20 O 0.833 0.127 0.627
O21 O 0.834 0.540 0.374
O22 O 0.844 0.796 0.640
O23 O 0.872 0.511 0.049
O24 O 0.873 0.500 0.706
```



No. 6
Structure and simulated X-ray powder pattern of Ge2P2SO12 (a crystal structure in the Materials Project, relaxed with PBE; Cu Kα).
Intensities are scaled so that the largest is 100.

Principal peaks in the range 2θ = 10–80°, in order of falling intensity:
2θ/deg	d_spacing	I/Imax
24.73	3.600	100
20.57	4.319	94
14.79	5.991	56
21.37	4.158	54
29.87	2.991	44
32.89	2.723	36

Structural model:
```
data_Ge2P2SO12
_chemical_formula_sum 'Ge4 P4 S2 O24'
_symmetry_space_group_name_H-M 'P 1'
_symmetry_Int_Tables_number 1
_cell_length_a 8.321
_cell_length_b 8.321
_cell_length_c 8.637
_cell_angle_alpha 118.64
_cell_angle_beta 118.64
_cell_angle_gamma 59.87
loop_
_symmetry_equiv_pos_as_xyz
'x,y,z'
loop_
_atom_site_label
_atom_site_type_symbol
_atom_site_fract_x
_atom_site_fract_y
_atom_site_fract_z
Ge1 Ge 0.044 0.542 0.873
Ge2 Ge 0.238 0.762 0.500
Ge3 Ge 0.542 0.044 0.373
Ge4 Ge 0.762 0.238 0.000
P1 P 0.147 0.360 0.187
P2 P 0.360 0.147 0.687
P3 P 0.857 0.935 0.185
P4 P 0.935 0.857 0.685
S1 S 0.439 0.647 0.187
S2 S 0.647 0.439 0.687
O1 O 0.039 0.914 0.358
O2 O 0.120 0.830 0.663
O3 O 0.130 0.385 0.013
O4 O 0.170 0.539 0.361
O5 O 0.177 0.329 0.713
O6 O 0.266 0.631 0.019
O7 O 0.329 0.177 0.213
O8 O 0.335 0.964 0.659
O9 O 0.385 0.130 0.513
O10 O 0.416 0.665 0.355
O11 O 0.462 0.821 0.207
O12 O 0.474 0.615 0.663
O13 O 0.539 0.170 0.861
O14 O 0.615 0.474 0.163
O15 O 0.631 0.266 0.519
O16 O 0.665 0.416 0.855
O17 O 0.676 0.965 0.214
O18 O 0.756 0.885 0.512
O19 O 0.821 0.462 0.707
O20 O 0.830 0.120 0.163
O21 O 0.885 0.756 0.012
O22 O 0.914 0.039 0.858
O23 O 0.964 0.335 0.159
O24 O 0.965 0.676 0.714
```



Copy entry 4 word for word.
Structure and simulated X-ray powder pattern of GaPd (a crystal structure in the Materials Project, relaxed with PBE; Cu Kα).
Intensities are scaled so that the largest is 100.

Principal peaks in the range 2θ = 10–80°, in order of falling intensity:
2θ/deg	d_spacing	I/Imax
40.90	2.207	100
74.48	1.274	33
59.22	1.560	16
28.61	3.121	5
67.06	1.396	2
50.67	1.802	1

Structural model:
```
data_GaPd
_chemical_formula_sum 'Ga1 Pd1'
_symmetry_space_group_name_H-M 'P 1'
_symmetry_Int_Tables_number 1
_cell_length_a 3.121
_cell_length_b 3.121
_cell_length_c 3.121
_cell_angle_alpha 90.00
_cell_angle_beta 90.00
_cell_angle_gamma 90.00
loop_
_symmetry_equiv_pos_as_xyz
'x,y,z'
loop_
_atom_site_label
_atom_site_type_symbol
_atom_site_fract_x
_atom_site_fract_y
_atom_site_fract_z
Ga1 Ga 0.000 0.000 0.000
Pd1 Pd 0.500 0.500 0.500
```